Y4Fe4Co12B3C: calculated powder XRD pattern (Cu Kα X-rays), based on the PBE geometry in Alexandria.
Neutral-atom scattering factors, no anomalous dispersion.

Main lines, sorted by position (10° ≤ 2θ ≤ 90°):
33.5°, intensity 63, (1 0 4)
35.5°, intensity 20, (1 1 0)
38.0°, intensity 16, (1 1 2)
40.1°, intensity 17, (0 0 6)
41.2°, intensity 86, (2 0 0)
43.4°, intensity 13, (2 0 2)
44.8°, intensity 100, (1 1 4)
49.6°, intensity 17, (2 0 4)
62.5°, intensity 20, (2 1 4)
70.2°, intensity 24, (3 0 4)
75.1°, intensity 25, (2 2 0)
84.3°, intensity 13, (2 0 10)

Structural model:
```
data_Y4Fe4Co12B3C
_cell_length_a 5.0600
_cell_length_b 5.0600
_cell_length_c 13.4972
_cell_angle_alpha 90.00
_cell_angle_beta 90.00
_cell_angle_gamma 120.00
_space_group_name_H-M_alt 'P -6 m 2'
_space_group_IT_number 187
_space_group_name_Hall 'P -6 2'
loop_
_atom_site_label
_atom_site_fract_x
_atom_site_fract_y
_atom_site_fract_z
Y1 0.0000 0.0000 0.0000
Y2 0.0000 0.0000 0.2490
Y3 0.0000 0.0000 0.5000
Fe1 0.3333 0.6667 0.2493
Fe2 0.6667 0.3333 0.2474
Co1 0.9997 0.4999 0.3933
Co2 0.0043 0.5022 0.1014
B1 0.3333 0.6667 0.5000
B2 0.6667 0.3333 0.0000
B3 0.6667 0.3333 0.5000
C1 0.3333 0.6667 0.0000
```